Simulated powder XRD pattern
Compound: Tb5BiPt2
Radiation: Cu Kα, 1.54184 Å
Structure: a crystal structure in the Materials Project, relaxed with PBE
Lines closer than 0.1° are merged.

Structure:
```
Tb5BiPt2
1.0
-3.9214 3.9214 6.9468
3.9214 -3.9214 6.9468
3.9214 3.9214 -6.9468
Tb Bi Pt
10 2 4
direct
0.0000 0.0000 0.0000 Tb
0.0212 0.5212 0.8140 Tb
0.2073 0.0212 0.5000 Tb
0.2927 0.7927 0.8140 Tb
0.4788 0.2927 0.5000 Tb
0.5000 0.5000 0.0000 Tb
0.5212 0.7073 0.5000 Tb
0.7073 0.2073 0.1860 Tb
0.7927 0.9788 0.5000 Tb
0.9788 0.4788 0.1860 Tb
0.2500 0.2500 0.0000 Bi
0.7500 0.7500 0.0000 Bi
0.1376 0.3624 0.5000 Pt
0.3624 0.8624 0.2249 Pt
0.6376 0.1376 0.7751 Pt
0.8624 0.6376 0.5000 Pt
```

Top 12 peaks for 2θ = 15–90°, sorted by position:
- 2θ = 20.49°, I 10
- 2θ = 30.36°, I 18
- 2θ = 32.01°, I 100
- 2θ = 32.28°, I 11
- 2θ = 34.49°, I 25
- 2θ = 36.22°, I 64
- 2θ = 41.46°, I 26
- 2θ = 52.71°, I 11
- 2θ = 56.38°, I 10
- 2θ = 65.63°, I 21
- 2θ = 67.41°, I 17
- 2θ = 80.88°, I 10

Simulated powder XRD pattern
Compound: EuSb12Ru4
Radiation: Cu Kα, 1.54184 Å
Structure: a crystal structure in the Materials Project, relaxed with PBE
Lines closer than 0.1° are merged.

Structure:
```
EuSb12Ru4
1.0
-4.7035 4.7035 4.7035
4.7035 -4.7035 4.7035
4.7035 4.7035 -4.7035
Eu Sb Ru
1 12 4
direct
0.0000 0.0000 0.0000 Eu
0.1589 0.5002 0.3413 Sb
0.1589 0.8176 0.6587 Sb
0.1824 0.3413 0.8411 Sb
0.3413 0.1589 0.5002 Sb
0.3413 0.8411 0.1824 Sb
0.5002 0.3413 0.1589 Sb
0.4998 0.6587 0.8411 Sb
0.6587 0.1589 0.8176 Sb
0.6587 0.8411 0.4998 Sb
0.8176 0.6587 0.1589 Sb
0.8411 0.1824 0.3413 Sb
0.8411 0.4998 0.6587 Sb
0.0000 0.0000 0.5000 Ru
0.0000 0.5000 0.0000 Ru
0.5000 0.0000 0.0000 Ru
0.5000 0.5000 0.5000 Ru
```

Top 12 peaks for 2θ = 15–90°, sorted by position:
- 2θ = 30.04°, I 100
- 2θ = 35.71°, I 46
- 2θ = 43.00°, I 22
- 2θ = 47.34°, I 32
- 2θ = 49.40°, I 29
- 2θ = 57.09°, I 12
- 2θ = 58.91°, I 8
- 2θ = 62.44°, I 7
- 2θ = 67.53°, I 18
- 2θ = 77.24°, I 9
- 2θ = 88.12°, I 16
- 2θ = 89.65°, I 10

Simulated powder XRD pattern
Compound: Sr2LiH8O6
Radiation: Cu Kα, 1.54184 Å
Structure: a crystal structure in the Materials Project, relaxed with PBE
Lines closer than 0.1° are merged.

Structure:
```
Sr2LiH8O6
1.0
3.5369 0.0000 0.0000
-0.0759 6.7660 0.0000
-0.0280 -0.2861 7.6453
Sr Li H O
2 1 8 6
direct
0.0000 0.0000 0.0000 Sr
0.0035 0.1382 0.5131 Sr
0.0154 0.5373 0.3606 Li
0.1782 0.7033 0.6304 H
0.2155 0.5377 0.0541 H
0.4917 0.6692 0.8632 H
0.4979 0.8723 0.2626 H
0.5072 0.2793 0.7982 H
0.5109 0.3311 0.2933 H
0.7290 0.7027 0.6072 H
0.7843 0.5328 0.0553 H
0.0013 0.4526 0.1005 O
0.4972 0.0171 0.2653 O
0.4977 0.7181 0.9879 O
0.5031 0.1345 0.7770 O
0.5098 0.3942 0.4106 O
0.9704 0.7538 0.5506 O
```

Top 12 peaks for 2θ = 15–90°, sorted by position:
- 2θ = 17.83°, I 47
- 2θ = 23.27°, I 100
- 2θ = 25.18°, I 48
- 2θ = 26.36°, I 49
- 2θ = 28.47°, I 34
- 2θ = 29.28°, I 38
- 2θ = 34.48°, I 50
- 2θ = 34.62°, I 50
- 2θ = 36.77°, I 82
- 2θ = 37.25°, I 31
- 2θ = 38.19°, I 44
- 2θ = 38.54°, I 32

Simulated powder XRD pattern
Compound: Sr2PrCu2Bi2O8
Radiation: Cu Kα, 1.54184 Å
Structure: a crystal structure in the Materials Project, relaxed with PBE
Lines closer than 0.1° are merged.

Structure:
```
Sr2PrCu2Bi2O8
1.0
-1.9171 1.9171 15.3749
1.9171 -1.9171 15.3749
1.9171 1.9171 -15.3749
Sr Pr Cu Bi O
2 1 2 2 8
direct
0.1156 0.1156 0.0000 Sr
0.8844 0.8844 0.0000 Sr
0.0000 0.0000 0.0000 Pr
0.4447 0.4447 0.0000 Cu
0.5553 0.5553 0.0000 Cu
0.2954 0.2954 0.0000 Bi
0.7046 0.7046 0.0000 Bi
0.0525 0.5525 0.5000 O
0.2033 0.2033 0.0000 O
0.3643 0.3643 0.0000 O
0.4475 0.9475 0.5000 O
0.5525 0.0525 0.5000 O
0.6357 0.6357 0.0000 O
0.7967 0.7967 0.0000 O
0.9475 0.4475 0.5000 O
```

Top 12 peaks for 2θ = 15–90°, sorted by position:
- 2θ = 24.79°, I 36
- 2θ = 27.41°, I 42
- 2θ = 29.04°, I 15
- 2θ = 30.96°, I 100
- 2θ = 33.04°, I 82
- 2θ = 35.03°, I 18
- 2θ = 44.55°, I 32
- 2θ = 47.42°, I 39
- 2θ = 48.92°, I 18
- 2θ = 56.23°, I 16
- 2θ = 57.72°, I 36
- 2θ = 69.30°, I 14

Simulated powder XRD pattern
Compound: KEu3
Radiation: Cu Kα, 1.54184 Å
Structure: a crystal structure in the Materials Project, relaxed with PBE
Lines closer than 0.1° are merged.

Structure:
```
KEu3
1.0
0.0000 4.6653 4.6653
4.6653 0.0000 4.6653
4.6653 4.6653 0.0000
K Eu
1 3
direct
0.0000 0.0000 0.0000 K
0.2500 0.2500 0.2500 Eu
0.5000 0.5000 0.5000 Eu
0.7500 0.7500 0.7500 Eu
```

Top 12 peaks for 2θ = 15–90°, sorted by position:
- 2θ = 16.46°, I 10
- 2θ = 19.02°, I 5
- 2θ = 27.03°, I 100
- 2θ = 31.81°, I 7
- 2θ = 38.60°, I 19
- 2θ = 42.22°, I 3
- 2θ = 47.75°, I 42
- 2θ = 55.73°, I 13
- 2θ = 63.01°, I 18
- 2θ = 69.84°, I 4
- 2θ = 76.38°, I 21
- 2θ = 89.03°, I 11

Simulated powder XRD pattern
Compound: KPb2Cl5
Radiation: Cu Kα, 1.54184 Å
Structure: a crystal structure in the Materials Project, relaxed with PBE
Lines closer than 0.1° are merged.

Structure:
```
KPb2Cl5
1.0
8.9913 0.0000 0.0000
0.0000 8.1259 0.0000
-0.1311 0.0000 12.7655
K Pb Cl
4 8 20
direct
0.0107 0.0477 0.3275 K
0.0107 0.4523 0.8275 K
0.9893 0.5477 0.1725 K
0.9893 0.9523 0.6725 K
0.2439 0.5601 0.4938 Pb
0.2439 0.9399 0.9938 Pb
0.4897 0.0044 0.6744 Pb
0.4897 0.4956 0.1744 Pb
0.5103 0.5044 0.8256 Pb
0.5103 0.9956 0.3256 Pb
0.7561 0.0601 0.0062 Pb
0.7561 0.4399 0.5062 Pb
0.0399 0.1832 0.0758 Cl
0.0399 0.3168 0.5758 Cl
0.2626 0.6880 0.7141 Cl
0.2626 0.8120 0.2141 Cl
0.2652 0.1551 0.8101 Cl
0.2652 0.3449 0.3101 Cl
0.2843 0.5420 0.9951 Cl
0.2843 0.9580 0.4951 Cl
0.4623 0.1601 0.1036 Cl
0.4623 0.3399 0.6036 Cl
0.5377 0.6601 0.3964 Cl
0.5377 0.8399 0.8964 Cl
0.7157 0.0420 0.5049 Cl
0.7157 0.4580 0.0049 Cl
0.7348 0.6551 0.6899 Cl
0.7348 0.8449 0.1899 Cl
0.7374 0.1880 0.7859 Cl
0.7374 0.3120 0.2859 Cl
0.9601 0.6832 0.4242 Cl
0.9601 0.8168 0.9242 Cl
```

Top 12 peaks for 2θ = 15–90°, sorted by position:
- 2θ = 16.28°, I 20
- 2θ = 21.88°, I 38
- 2θ = 23.60°, I 100
- 2θ = 23.73°, I 42
- 2θ = 24.07°, I 43
- 2θ = 32.77°, I 38
- 2θ = 32.94°, I 31
- 2θ = 34.62°, I 25
- 2θ = 37.45°, I 19
- 2θ = 39.46°, I 30
- 2θ = 40.12°, I 24
- 2θ = 42.02°, I 20